Structure and calculated powder X-ray diffraction pattern of AcFe2WO8 (the PBE+U geometry in Alexandria; Cu Kα).

Principal peaks in the range 15° ≤ 2θ ≤ 90°, most intense first:
| 2theta | I/Imax |
| --- | --- |
| 25.32 | 100 |
| 32.61 | 81 |
| 49.44 | 64 |
| 18.45 | 60 |
| 36.11 | 25 |
| 31.51 | 21 |
| 62.73 | 18 |
| 51.99 | 16 |
| 58.69 | 16 |
| 62.26 | 16 |

Structure:
```
data_AcFe2WO8
_chemical_formula_sum 'Ac2 Fe4 W2 O16'
_cell_length_a 7.0354
_cell_length_b 7.0354
_cell_length_c 6.5857
_cell_angle_alpha 90.00
_cell_angle_beta 90.00
_cell_angle_gamma 90.00
_space_group_name_H-M_alt 'I -4 m 2'
_space_group_IT_number 119
_space_group_name_Hall 'I -4 -2'
loop_
_atom_site_label
_atom_site_fract_x
_atom_site_fract_y
_atom_site_fract_z
Ac1 0.0000 0.0000 0.0000
Fe1 0.0000 0.0000 0.5000
Fe2 0.0000 0.5000 0.2500
W1 0.0000 0.5000 0.7500
O1 0.0000 0.2182 0.6751
O2 0.0000 0.3383 0.0285
```